Theoretical powder XRD pattern of Cd12GaHg2 for copper Kα, from a GGA-PBE-relaxed structure.

Atomic structure:
```
data_Cd12GaHg2
_cell_length_a 5.973
_cell_length_b 5.973
_cell_length_c 20.828
_cell_angle_alpha 90.00
_cell_angle_beta 90.00
_cell_angle_gamma 90.00
_space_group_name_H-M_alt 'P 1'
_space_group_IT_number 1
loop_
_space_group_symop_operation_xyz
'x,y,z'
loop_
_atom_site_label
_atom_site_type_symbol
_atom_site_fract_x
_atom_site_fract_y
_atom_site_fract_z
Cd1 Cd 0.000 0.000 0.093
Cd2 Cd 0.000 0.000 0.907
Cd3 Cd 0.000 0.500 0.093
Cd4 Cd 0.000 0.500 0.907
Cd5 Cd 0.074 0.574 0.434
Cd6 Cd 0.074 0.926 0.566
Cd7 Cd 0.250 0.250 0.198
Cd8 Cd 0.250 0.250 0.332
Cd9 Cd 0.250 0.250 0.668
Cd10 Cd 0.250 0.250 0.802
Cd11 Cd 0.426 0.574 0.566
Cd12 Cd 0.426 0.926 0.434
Cd13 Cd 0.500 0.000 0.093
Cd14 Cd 0.500 0.000 0.907
Cd15 Cd 0.500 0.500 0.093
Cd16 Cd 0.500 0.500 0.907
Cd17 Cd 0.574 0.074 0.566
Cd18 Cd 0.574 0.426 0.434
Cd19 Cd 0.750 0.750 0.198
Cd20 Cd 0.750 0.750 0.332
Cd21 Cd 0.750 0.750 0.668
Cd22 Cd 0.750 0.750 0.802
Cd23 Cd 0.926 0.074 0.434
Cd24 Cd 0.926 0.426 0.566
Ga1 Ga 0.250 0.750 0.000
Ga2 Ga 0.750 0.250 0.000
Hg1 Hg 0.250 0.750 0.258
Hg2 Hg 0.250 0.750 0.742
Hg3 Hg 0.750 0.250 0.258
Hg4 Hg 0.750 0.250 0.742
```

Principal peaks in the range 2θ from 10° to 80°, in order of rising 2θ:
h k l  Position (°2θ)  intensity
0 0 6  25.7  25
1 1 4  27.2  38
2 0 2  31.2  100
1 1 6  33.4  42
2 0 4  34.6  53
1 1 7  37.0  31
2 0 6  39.8  22
1 1 8  40.7  23
2 2 0  42.8  52
3 1 8  60.6  28